Starting from DFT lattice parameters and positions (GGA-PBE), the powder diffraction line list of Pr4Dy10Sc was simulated for Cu Kα (weighted mean of Kα1 and Kα2).
Lines closer than 0.1° are merged.

```
data_Pr4Dy10Sc
_chemical_formula_sum 'Pr8 Dy20 Sc2'
_cell_length_a 11.3671
_cell_length_b 11.3671
_cell_length_c 7.7699
_cell_angle_alpha 90.00
_cell_angle_beta 90.00
_cell_angle_gamma 90.00
_symmetry_space_group_name_H-M 'I 4/m m m'
_symmetry_Int_Tables_number 139
_symmetry_space_group_name_Hall '-I 4 2'
loop_
_atom_site_label
_atom_site_type_symbol
_atom_site_fract_x
_atom_site_fract_y
_atom_site_fract_z
_atom_site_occupancy
Pr1 Pr 0.2288 0.2288 0.0000 1
Dy1 Dy 0.0000 0.2072 0.2881 1
Dy2 Dy 0.0000 0.5000 0.2500 1
Sc1 Sc 0.0000 0.0000 0.0000 1
```

Principal peaks in the range 2θ = 10–80°, sorted by position:
d [Å]  2θ (°)  Rel. int.  (hkl)
3.595  24.8  40  3 1 0
3.207  27.8  69  2 0 2
2.921  30.6  33  3 2 1
2.842  31.5  100  4 0 0
2.793  32.0  89  2 2 2
2.679  33.4  33  3 3 0
2.638  34.0  36  3 1 2
2.206  40.9  49  3 3 2
1.709  53.6  29  5 0 3
1.394  67.2  51  7 3 2

***

Starting from DFT lattice parameters and positions (GGA-PBE), the powder diffraction line list of SrTc2P was simulated for Cu Kα (weighted mean of Kα1 and Kα2).
Lines closer than 0.1° are merged.

```
data_SrTc2P
_chemical_formula_sum 'Sr4 Tc8 P4'
_cell_length_a 4.7835
_cell_length_b 4.7835
_cell_length_c 16.6087
_cell_angle_alpha 90.00
_cell_angle_beta 90.00
_cell_angle_gamma 90.00
_symmetry_space_group_name_H-M 'I 41/a m d'
_symmetry_Int_Tables_number 141
loop_
_symmetry_equiv_pos_as_xyz
'x,y,z'
'-x,-y,-z'
'-y+1/4,x+3/4,z+1/4'
'y+1/4,-x+3/4,-z+1/4'
'-x+1/2,-y,z+1/2'
'x+1/2,y,-z+1/2'
'y+1/4,-x+1/4,z+3/4'
'-y+1/4,x+1/4,-z+3/4'
'x,-y,-z'
'-x,y,z'
'-y+1/4,-x+1/4,-z+3/4'
'y+1/4,x+1/4,z+3/4'
'-x+1/2,y,-z+1/2'
'x+1/2,-y,z+1/2'
'y+1/4,x+3/4,-z+1/4'
'-y+1/4,-x+3/4,z+1/4'
'x+1/2,y+1/2,z+1/2'
'-x+1/2,-y+1/2,-z+1/2'
'-y+3/4,x+1/4,z+3/4'
'y+3/4,-x+1/4,-z+3/4'
'-x,-y+1/2,z'
'x,y+1/2,-z'
'y+3/4,-x+3/4,z+1/4'
'-y+3/4,x+3/4,-z+1/4'
'x+1/2,-y+1/2,-z+1/2'
'-x+1/2,y+1/2,z+1/2'
'-y+3/4,-x+3/4,-z+1/4'
'y+3/4,x+3/4,z+1/4'
'-x,y+1/2,-z'
'x,-y+1/2,z'
'y+3/4,x+1/4,-z+3/4'
'-y+3/4,-x+1/4,z+3/4'
loop_
_atom_site_label
_atom_site_type_symbol
_atom_site_fract_x
_atom_site_fract_y
_atom_site_fract_z
_atom_site_occupancy
Sr1 Sr 0.0000 0.2500 0.3750 1
Tc1 Tc 0.0000 0.0000 0.0000 1
P1 P 0.0000 0.2500 0.8750 1
```

Principal peaks in the range 2θ = 10–80°, sorted by position:
d [Å]  2θ (°)  Rel. int.  (hkl)
4.597  19.3  36  1 0 1
3.620  24.6  100  1 0 3
3.133  28.5  50  1 1 2
2.728  32.8  48  1 0 5
2.298  39.2  59  2 0 2
2.122  42.6  50  2 1 1
2.075  43.6  42  0 0 8
1.810  50.4  28  2 0 6
1.589  58.1  20  2 1 7
1.566  59.0  50  2 2 4

***

Starting from DFT lattice parameters and positions (GGA-PBE), the powder diffraction line list of La2Dy5Tm4 was simulated for Cu Kα (weighted mean of Kα1 and Kα2).
Lines closer than 0.1° are merged.

```
data_La2Dy5Tm4
_chemical_formula_sum 'La2 Dy5 Tm4'
_cell_length_a 3.5174
_cell_length_b 8.9243
_cell_length_c 11.5925
_cell_angle_alpha 85.66
_cell_angle_beta 89.98
_cell_angle_gamma 78.72
_symmetry_space_group_name_H-M 'P -1'
_symmetry_Int_Tables_number 2
loop_
_symmetry_equiv_pos_as_xyz
'x,y,z'
'-x,-y,-z'
loop_
_atom_site_label
_atom_site_type_symbol
_atom_site_fract_x
_atom_site_fract_y
_atom_site_fract_z
_atom_site_occupancy
La1 La 0.2173 0.0652 0.3527 1
Dy1 Dy 0.0000 0.5000 0.0000 1
Dy2 Dy 0.3240 0.8522 0.9357 1
Dy3 Dy 0.4042 0.6864 0.4615 1
Tm1 Tm 0.1392 0.2223 0.7983 1
Tm2 Tm 0.4688 0.5635 0.7467 1
```

Principal peaks in the range 2θ = 10–80°, sorted by position:
d [Å]  2θ (°)  Rel. int.  (hkl)
2.981  30.0  41  1 1 2
2.941  30.4  31  1 0 2
2.886  31.0  60  1 2 -1
2.874  31.1  100  0 3 1
2.808  31.9  86  0 1 4
2.783  32.2  77  0 2 -3
2.714  33.0  61  -1 1 2
2.627  34.1  51  1 -1 2
2.419  37.2  25  1 2 3
1.500  61.9  28  2 4 1

***

Starting from DFT lattice parameters and positions (GGA-PBE), the powder diffraction line list of ZnAg4Au was simulated for Cu Kα (weighted mean of Kα1 and Kα2).
Lines closer than 0.1° are merged.

```
data_ZnAg4Au
_chemical_formula_sum 'Zn2 Ag8 Au2'
_cell_length_a 5.6044
_cell_length_b 8.0790
_cell_length_c 5.0935
_cell_angle_alpha 90.00
_cell_angle_beta 113.53
_cell_angle_gamma 90.00
_symmetry_space_group_name_H-M 'P 1 21/c 1'
_symmetry_Int_Tables_number 14
loop_
_symmetry_equiv_pos_as_xyz
'x,y,z'
'-x,-y,-z'
'-x,y+1/2,-z+1/2'
'x,-y+1/2,z+1/2'
loop_
_atom_site_label
_atom_site_type_symbol
_atom_site_fract_x
_atom_site_fract_y
_atom_site_fract_z
_atom_site_occupancy
Zn1 Zn 0.0000 0.0000 0.0000 1
Ag1 Ag 0.1215 0.1664 0.5099 1
Ag2 Ag 0.3620 0.6596 0.9484 1
Au1 Au 0.5000 0.0000 0.0000 1
```

Principal peaks in the range 2θ = 10–80°, sorted by position:
d [Å]  2θ (°)  Rel. int.  (hkl)
2.616  34.3  11  2 1 -1
2.448  36.7  23  2 1 0
2.334  38.6  100  0 3 1
2.282  39.5  20  2 2 -1
2.226  40.5  10  2 0 -2
2.168  41.7  9  2 2 0
2.146  42.1  14  2 1 -2
1.754  52.2  9  2 2 1
1.368  68.6  10  4 1 -1
1.347  69.8  15  0 6 0

***

Starting from DFT lattice parameters and positions (GGA-PBE), the powder diffraction line list of Bi5SbBr2 was simulated for Cu Kα (weighted mean of Kα1 and Kα2).
Lines closer than 0.1° are merged.

```
data_Bi5SbBr2
_chemical_formula_sum 'Bi10 Sb2 Br4'
_cell_length_a 14.5654
_cell_length_b 6.5448
_cell_length_c 6.4936
_cell_angle_alpha 90.00
_cell_angle_beta 91.42
_cell_angle_gamma 90.00
_symmetry_space_group_name_H-M 'C 1 m 1'
_symmetry_Int_Tables_number 8
loop_
_symmetry_equiv_pos_as_xyz
'x,y,z'
'x,-y,z'
'x+1/2,y+1/2,z'
'x+1/2,-y+1/2,z'
loop_
_atom_site_label
_atom_site_type_symbol
_atom_site_fract_x
_atom_site_fract_y
_atom_site_fract_z
_atom_site_occupancy
Bi1 Bi 0.0000 0.0000 0.0000 1
Bi2 Bi 0.1587 0.2394 0.6321 1
Bi3 Bi 0.1683 0.2595 0.1339 1
Sb1 Sb 0.4974 0.0000 0.5038 1
Br1 Br 0.3921 0.5000 0.3515 1
Br2 Br 0.3953 0.0000 0.8414 1
```

Principal peaks in the range 2θ = 10–80°, sorted by position:
d [Å]  2θ (°)  Rel. int.  (hkl)
7.280  12.2  56  2 0 0
4.372  20.3  16  1 1 1
3.640  24.5  25  4 0 0
3.313  26.9  17  3 1 1
2.988  29.9  100  2 0 -2
2.434  36.9  20  4 2 0
2.393  37.6  14  4 0 2
2.304  39.1  24  0 2 2
2.186  41.3  18  2 2 2
1.963  46.3  22  4 2 -2

***

Starting from DFT lattice parameters and positions (GGA-PBE), the powder diffraction line list of LuSeI was simulated for Cu Kα (weighted mean of Kα1 and Kα2).
Lines closer than 0.1° are merged.

```
data_LuSeI
_chemical_formula_sum 'Lu1 Se1 I1'
_cell_length_a 4.1435
_cell_length_b 4.1435
_cell_length_c 7.2427
_cell_angle_alpha 90.00
_cell_angle_beta 90.00
_cell_angle_gamma 120.00
_symmetry_space_group_name_H-M 'P 3 m 1'
_symmetry_Int_Tables_number 156
loop_
_symmetry_equiv_pos_as_xyz
'x,y,z'
'-y,x-y,z'
'-x+y,-x,z'
'-y,-x,z'
'-x+y,y,z'
'x,x-y,z'
loop_
_atom_site_label
_atom_site_type_symbol
_atom_site_fract_x
_atom_site_fract_y
_atom_site_fract_z
_atom_site_occupancy
Lu1 Lu 0.0000 0.0000 0.0000 1
Se1 Se 0.6667 0.3333 0.1809 1
I1 I 0.3333 0.6667 0.7215 1
```

Principal peaks in the range 2θ = 10–80°, sorted by position:
d [Å]  2θ (°)  Rel. int.  (hkl)
7.243  12.2  68  0 0 1
3.215  27.7  100  1 0 1
2.549  35.2  65  1 0 2
2.072  43.7  35  1 1 0
2.003  45.3  27  0 1 3
1.992  45.5  16  1 1 1
1.742  52.5  17  0 2 1
1.608  57.3  16  0 2 2
1.333  70.7  14  2 1 1
1.270  74.7  15  2 1 2

***

Starting from DFT lattice parameters and positions (GGA-PBE), the powder diffraction line list of Li5NbO5 was simulated for Cu Kα (weighted mean of Kα1 and Kα2).
Lines closer than 0.1° are merged.

```
data_Li5NbO5
_chemical_formula_sum 'Li20 Nb4 O20'
_cell_length_a 5.7447
_cell_length_b 9.3577
_cell_length_c 9.0916
_cell_angle_alpha 90.00
_cell_angle_beta 104.18
_cell_angle_gamma 90.00
_symmetry_space_group_name_H-M 'C 1 2/c 1'
_symmetry_Int_Tables_number 15
loop_
_symmetry_equiv_pos_as_xyz
'x,y,z'
'-x,-y,-z'
'-x,y,-z+1/2'
'x,-y,z+1/2'
'x+1/2,y+1/2,z'
'-x+1/2,-y+1/2,-z'
'-x+1/2,y+1/2,-z+1/2'
'x+1/2,-y+1/2,z+1/2'
loop_
_atom_site_label
_atom_site_type_symbol
_atom_site_fract_x
_atom_site_fract_y
_atom_site_fract_z
_atom_site_occupancy
Li1 Li 0.0000 0.1688 0.2500 1
Li2 Li 0.1246 0.3254 0.0602 1
Li3 Li 0.1592 0.1129 0.5430 1
Nb1 Nb 0.0000 0.4127 0.7500 1
O1 O 0.0000 0.3853 0.2500 1
O2 O 0.1588 0.3296 0.6071 1
O3 O 0.1862 0.1118 0.0877 1
```

Principal peaks in the range 2θ = 10–80°, sorted by position:
d [Å]  2θ (°)  Rel. int.  (hkl)
4.786  18.5  100  1 1 0
4.407  20.1  30  0 0 2
4.133  21.5  92  0 2 1
3.647  24.4  70  1 1 -2
2.948  30.3  27  1 1 2
2.693  33.3  24  1 3 -1
2.339  38.5  16  0 4 0
2.129  42.5  39  2 0 2
1.980  45.8  19  2 0 -4
1.691  54.2  27  1 5 -2